No. 1
# CeNi4Sn2
Theoretical PXRD pattern, Cu Kα X-rays. Input: a DFT-relaxed cell (PBE, the Materials Project).

Structural model:
```
14
Lattice="-3.5573 3.5573 3.7786 3.5573 -3.5573 3.7786 3.5573 3.5573 -3.7786" Properties=species:S:1:pos:R:3 pbc="T T T"
Ce 0.0000 0.0000 1.8893
Ce 0.0000 0.0000 5.6679
Ni 4.6138 -0.9573 1.2592
Ni 2.5999 -1.0565 2.5194
Ni 2.5008 0.9573 1.2592
Ni 4.5146 1.0565 2.5194
Ni -1.0565 2.5999 1.2592
Ni 0.9573 2.5008 2.5194
Ni 1.0565 4.5146 1.2592
Ni -0.9573 4.6138 2.5194
Sn 4.6761 1.1189 0.0000
Sn 1.1189 2.4384 0.0000
Sn 2.4384 1.1189 3.7786
Sn -1.1189 2.4384 3.7786
```

Principal peaks in the range 10° ≤ 2θ ≤ 80°, by angle:
| 2theta | d/Å | I_rel |
| --- | --- | --- |
| 29.57 | 3.021 | 30 |
| 30.48 | 2.932 | 16 |
| 34.63 | 2.590 | 33 |
| 35.69 | 2.515 | 12 |
| 40.08 | 2.250 | 87 |
| 45.95 | 1.975 | 100 |
| 57.97 | 1.591 | 11 |
| 60.39 | 1.533 | 12 |
| 64.39 | 1.447 | 11 |
| 65.58 | 1.424 | 12 |

---

No. 2
# Li2PtO6
Theoretical PXRD pattern, Cu Kα X-rays. Input: a DFT-relaxed cell (PBE, the Materials Project).

Structural model:
```
9
Lattice="2.9945 -4.6300 0.0000 2.9945 4.6300 0.0000 -0.9122 0.0000 3.6891" Properties=species:S:1:pos:R:3 pbc="T T T"
Li 2.9945 3.2199 0.0000
Li 2.9945 -3.2199 0.0000
Pt 2.9945 0.0000 0.0000
O 0.3412 0.0000 2.9651
O 2.3190 1.5840 1.1724
O 2.7577 1.5840 2.5166
O 2.3190 -1.5840 1.1724
O 2.7577 -1.5840 2.5166
O 4.7355 0.0000 0.7240
```

Principal peaks in the range 10° ≤ 2θ ≤ 80°, by angle:
| 2theta | d/Å | I_rel |
| --- | --- | --- |
| 18.02 | 4.924 | 100 |
| 19.17 | 4.630 | 36 |
| 24.12 | 3.689 | 21 |
| 27.10 | 3.291 | 32 |
| 30.76 | 2.907 | 18 |
| 31.00 | 2.885 | 31 |
| 33.17 | 2.701 | 13 |
| 38.80 | 2.321 | 27 |
| 39.67 | 2.272 | 13 |
| 48.48 | 1.878 | 12 |

---

No. 3
# K2RbGaI6
Theoretical PXRD pattern, Cu Kα X-rays. Input: a DFT-relaxed cell (PBE, the Materials Project).

Structural model:
```
10
Lattice="0.0000 6.2637 6.2637 6.2637 0.0000 6.2637 6.2637 6.2637 0.0000" Properties=species:S:1:pos:R:3 pbc="T T T"
K 3.1318 3.1318 3.1318
K 9.3955 9.3955 9.3955
Rb 0.0000 0.0000 0.0000
Ga 6.2637 6.2637 6.2637
I 6.2637 6.2637 3.4552
I 6.2637 3.4552 6.2637
I 9.0721 6.2637 6.2637
I 3.4552 6.2637 6.2637
I 6.2637 9.0721 6.2637
I 6.2637 6.2637 9.0721
```

Principal peaks in the range 10° ≤ 2θ ≤ 80°, by angle:
| 2theta | d/Å | I_rel |
| --- | --- | --- |
| 14.14 | 6.264 | 68 |
| 24.62 | 3.616 | 88 |
| 28.50 | 3.132 | 100 |
| 31.95 | 2.801 | 28 |
| 37.30 | 2.411 | 23 |
| 40.74 | 2.215 | 67 |
| 48.18 | 1.889 | 29 |
| 50.47 | 1.808 | 21 |
| 66.79 | 1.401 | 22 |
| 79.07 | 1.211 | 18 |

---

No. 4
# LiNbP4O12
Theoretical PXRD pattern, Cu Kα X-rays. Input: a DFT-relaxed cell (PBE, the Materials Project).

Structural model:
```
36
Lattice="7.9509 -3.5783 0.0000 7.9509 3.5783 0.0000 -5.3062 0.0000 7.8687" Properties=species:S:1:pos:R:3 pbc="T T T"
Li 3.9712 2.1702 5.9015
Li 6.6243 -2.1702 1.9672
Nb 6.6243 1.2206 1.9672
Nb 3.9712 -1.2206 5.9015
P -1.1559 0.3962 4.8722
P 1.4972 -0.3962 0.9378
P 1.3323 1.0853 6.3882
P 6.6101 1.0853 5.4149
P 3.9854 -1.0853 2.4539
P 9.2632 -1.0853 1.4805
P 9.0983 0.3962 6.9309
P 11.7514 -0.3962 2.9965
O 1.1754 0.9195 1.8143
O -1.2381 0.1258 3.4060
O -3.8912 -0.1258 7.3404
O 4.5958 2.0575 2.3869
O 0.4229 0.5823 5.1829
O 0.6959 0.8596 7.7170
O -1.4777 -0.9195 5.7487
O 8.6528 2.0575 1.5475
O 3.0760 -0.5823 1.2486
O 2.7330 0.5736 6.1320
O 5.2094 0.5736 5.6710
O 3.3490 -0.8596 3.7826
O 7.2466 0.8596 4.0861
O 5.3861 -0.5736 2.1977
O 7.8625 -0.5736 1.7367
O 7.5195 0.5823 6.6202
O 1.9427 -2.0575 6.3212
O 12.0733 0.9195 2.1200
O 9.8997 -0.8596 0.1518
O 10.1726 -0.5823 2.6858
O 5.9997 -2.0575 5.4818
O 14.4868 0.1258 0.5284
O 11.8337 -0.1258 4.4627
O 9.4202 -0.9195 6.0544
```

Principal peaks in the range 10° ≤ 2θ ≤ 80°, by angle:
| 2theta | d/Å | I_rel |
| --- | --- | --- |
| 13.43 | 6.592 | 51 |
| 15.51 | 5.712 | 35 |
| 20.85 | 4.259 | 94 |
| 22.60 | 3.934 | 86 |
| 23.25 | 3.826 | 56 |
| 27.60 | 3.232 | 100 |
| 30.94 | 2.890 | 47 |
| 32.37 | 2.766 | 39 |
| 33.86 | 2.648 | 83 |
| 38.36 | 2.347 | 40 |

---

No. 5
# TmMgS3
Theoretical PXRD pattern, Cu Kα X-rays. Input: a DFT-relaxed cell (PBE, the Materials Project).

Structural model:
```
10
Lattice="3.7852 -5.7809 0.0000 3.7852 5.7809 0.0000 -3.4472 0.0000 5.8099" Properties=species:S:1:pos:R:3 pbc="T T T"
Tm 0.8089 0.0000 1.4327
Tm 3.3143 0.0000 4.3773
Mg 3.7852 1.8540 0.0000
Mg 3.7852 -1.8540 0.0000
S 2.6797 4.0558 0.8528
S 1.4435 4.0558 4.9571
S 0.6707 0.0000 4.0770
S 3.4526 0.0000 1.7329
S 2.6797 -4.0558 0.8528
S 1.4435 -4.0558 4.9571
```

Principal peaks in the range 10° ≤ 2θ ≤ 80°, by angle:
| 2theta | d/Å | I_rel |
| --- | --- | --- |
| 15.32 | 5.785 | 88 |
| 16.28 | 5.446 | 100 |
| 26.39 | 3.377 | 19 |
| 27.28 | 3.269 | 40 |
| 31.54 | 2.837 | 25 |
| 34.45 | 2.604 | 21 |
| 34.56 | 2.596 | 30 |
| 36.90 | 2.436 | 29 |
| 41.76 | 2.163 | 25 |
| 42.07 | 2.148 | 22 |

---

No. 6
# YMg14B
Theoretical PXRD pattern, Cu Kα X-rays. Input: a DFT-relaxed cell (PBE, the Materials Project).

Structural model:
```
16
Lattice="10.2284 0.0000 0.0000 0.0000 3.0019 5.8428 0.0000 -3.0019 5.8428" Properties=species:S:1:pos:R:3 pbc="T T T"
Y 0.0000 0.0000 0.0000
Mg 0.0000 -1.4082 3.0643
Mg 0.0000 1.4082 3.0643
Mg 1.7847 0.0000 7.0216
Mg 2.5872 -1.5047 4.4925
Mg 2.5872 1.5047 4.4925
Mg 2.6498 0.0000 1.6630
Mg 5.1142 -1.4739 8.4855
Mg 5.1142 0.0000 5.6431
Mg 5.1142 1.4739 8.4855
Mg 5.1142 0.0000 11.4081
Mg 7.5786 0.0000 1.6630
Mg 7.6412 -1.5047 4.4925
Mg 7.6412 1.5047 4.4925
Mg 8.4437 0.0000 7.0216
B 0.0000 0.0000 5.1322
```

Principal peaks in the range 10° ≤ 2θ ≤ 80°, by angle:
| 2theta | d/Å | I_rel |
| --- | --- | --- |
| 16.60 | 5.340 | 20 |
| 18.75 | 4.734 | 21 |
| 28.68 | 3.113 | 20 |
| 31.11 | 2.874 | 34 |
| 32.52 | 2.754 | 22 |
| 33.56 | 2.670 | 56 |
| 35.09 | 2.557 | 43 |
| 35.38 | 2.537 | 89 |
| 38.02 | 2.367 | 100 |
| 49.35 | 1.847 | 25 |

---

No. 7
# Sm4Si9Ni7
Theoretical PXRD pattern, Cu Kα X-rays. Input: a DFT-relaxed cell (PBE, the Materials Project).

Structural model:
```
20
Lattice="5.5350 -5.6996 0.0000 5.5350 5.6996 0.0000 -2.8603 0.0000 4.8838" Properties=species:S:1:pos:R:3 pbc="T T T"
Sm 1.2188 0.0000 2.3817
Sm 2.8311 -2.7314 0.0647
Sm 6.9908 0.0000 2.5021
Sm 5.3785 -2.7314 4.8191
Si 2.2692 2.7402 2.9308
Si 5.5350 4.1596 0.0000
Si 3.5828 0.2367 0.4642
Si 5.9404 2.7402 1.9530
Si 4.1048 -1.1826 2.4419
Si 5.5350 -1.2327 0.0000
Si 4.6268 0.2367 4.4196
Si 5.5350 -4.1407 0.0000
Si 4.1048 -4.2414 2.4419
Ni -1.2568 0.0259 4.2442
Ni 4.1048 4.0290 2.4419
Ni 5.5350 1.4309 0.0000
Ni 4.1048 1.3352 2.4419
Ni 2.4632 -2.6839 3.0836
Ni 5.7464 -2.6839 1.8002
Ni 9.4665 0.0259 0.6396
```

Principal peaks in the range 10° ≤ 2θ ≤ 80°, by angle:
| 2theta | d/Å | I_rel |
| --- | --- | --- |
| 24.04 | 3.702 | 54 |
| 31.39 | 2.850 | 26 |
| 31.62 | 2.830 | 24 |
| 35.91 | 2.501 | 61 |
| 36.08 | 2.489 | 61 |
| 36.75 | 2.445 | 100 |
| 37.04 | 2.427 | 31 |
| 45.15 | 2.008 | 72 |
| 52.98 | 1.728 | 17 |
| 58.99 | 1.566 | 27 |

---

No. 8
# Mn2CoNiSb2
Theoretical PXRD pattern, Cu Kα X-rays. Input: a DFT-relaxed cell (PBE, the Materials Project).

Structural model:
```
6
Lattice="2.1336 1.2318 6.9746 -2.1336 1.2318 6.9746 0.0000 -2.4637 6.9746" Properties=species:S:1:pos:R:3 pbc="T T T"
Mn 0.0000 0.0000 0.0000
Mn 0.0000 0.0000 10.4343
Co 0.0000 0.0000 15.6829
Ni 0.0000 0.0000 5.2144
Sb 0.0000 0.0000 2.5863
Sb 0.0000 0.0000 13.0765
```

Principal peaks in the range 10° ≤ 2θ ≤ 80°, by angle:
| 2theta | d/Å | I_rel |
| --- | --- | --- |
| 25.56 | 3.485 | 66 |
| 42.35 | 2.134 | 100 |
| 50.12 | 1.820 | 31 |
| 61.44 | 1.509 | 16 |
| 67.65 | 1.385 | 12 |
| 77.46 | 1.232 | 31 |

---

No. 9
# EuZnAu
Theoretical PXRD pattern, Cu Kα X-rays. Input: a DFT-relaxed cell (PBE, the Materials Project).

Structural model:
```
12
Lattice="7.5455 0.0000 0.0000 0.0000 4.6927 0.0000 0.0000 0.0000 8.0115" Properties=species:S:1:pos:R:3 pbc="T T T"
Eu 0.0395 1.1732 1.5889
Eu 3.7332 3.5195 5.5946
Eu 3.8123 1.1732 2.4169
Eu 7.5060 3.5195 6.4226
Zn 1.3324 1.1732 4.6504
Zn 2.4403 3.5195 0.6447
Zn 5.1052 1.1732 7.3668
Zn 6.2131 3.5195 3.3611
Au 1.5386 3.5195 3.2528
Au 2.2342 1.1732 7.2586
Au 5.3114 3.5195 0.7529
Au 6.0069 1.1732 4.7587
```

Principal peaks in the range 10° ≤ 2θ ≤ 80°, by angle:
| 2theta | d/Å | I_rel |
| --- | --- | --- |
| 24.96 | 3.568 | 30 |
| 25.17 | 3.538 | 19 |
| 31.67 | 2.825 | 47 |
| 32.44 | 2.760 | 100 |
| 32.60 | 2.746 | 32 |
| 37.48 | 2.400 | 28 |
| 38.36 | 2.346 | 43 |
| 38.80 | 2.321 | 57 |
| 54.71 | 1.678 | 19 |
| 62.49 | 1.486 | 27 |